The following is a theoretical XRD peak list of Tb7Pd2Au2. It was derived from a structure optimized by DFT (GGA-PBE), using λ = 1.5418 Å (Cu Kα).
No peak broadening, texture or thermal motion is included.

Structural model:
```
data_Tb7Pd2Au2
_chemical_formula_sum 'Tb14 Pd4 Au4'
_cell_length_a 7.865
_cell_length_b 10.890
_cell_length_c 7.165
_cell_angle_alpha 90.00
_cell_angle_beta 90.00
_cell_angle_gamma 90.00
_symmetry_space_group_name_H-M 'C m m m'
_symmetry_Int_Tables_number 65
_symmetry_space_group_name_Hall '-C 2 2'
loop_
_atom_site_label
_atom_site_type_symbol
_atom_site_fract_x
_atom_site_fract_y
_atom_site_fract_z
Tb1 Tb 0.000 0.000 0.000
Tb2 Tb 0.000 0.500 0.259
Tb3 Tb 0.250 0.250 0.264
Pd1 Pd 0.000 0.289 0.000
Au1 Au 0.191 0.000 0.500
```

The 12 most intense peaks (5° ≤ 2θ ≤ 70°), most intense first:
| h k l | 2theta | I/Imax |
| --- | --- | --- |
| 2 2 2 | 37.77 | 100 |
| 0 4 0 | 32.90 | 60 |
| 2 0 1 | 25.84 | 42 |
| 1 1 2 | 28.58 | 42 |
| 1 3 2 | 37.06 | 38 |
| 0 4 4 | 62.00 | 36 |
| 0 2 2 | 29.85 | 30 |
| 2 2 0 | 27.99 | 27 |
| 3 3 1 | 44.44 | 24 |
| 0 2 1 | 20.49 | 23 |
| 0 0 4 | 50.98 | 19 |
| 2 4 1 | 42.30 | 17 |